Entry 1:
# MnCdW2
Calculated powder X-ray diffraction pattern, Cu Kα (λ = 1.5418 Å). Input: a cell relaxed with PBE.
No peak broadening, texture or thermal motion is included.

Structure:
a b c (Å): 3.2231 4.4849 9.0724
angles (deg): 90.00 90.00 90.00
Space group Cmm2 (No. 35)
Asymmetric unit:
Mn: 0.0000 0.0000 0.0000 (multiplicity 2)
Cd: 0.0000 0.5000 0.7428 (multiplicity 2)
W: 0.0000 0.0000 0.4654 (multiplicity 2)
W: 0.0000 0.5000 0.2214 (multiplicity 2)

The 10 most intense peaks (2θ from 10° to 80°), sorted by position:
2theta, I (rel.)
29.54, 5
35.70, 9
39.76, 100
40.22, 20
45.85, 5
57.16, 7
57.82, 12
71.86, 6
72.16, 18
72.78, 13



Entry 2:
# MgTc5
Calculated powder X-ray diffraction pattern, Cu Kα (λ = 1.5418 Å). Input: a cell relaxed with PBE.
No peak broadening, texture or thermal motion is included.

Structure:
a b c (Å): 2.7860 2.7860 13.4611
angles (deg): 90.00 90.00 120.00
Space group P-6m2 (No. 187)
Asymmetric unit:
Mg: 0.0000 0.0000 0.0000 (multiplicity 1)
Tc: 0.0000 0.0000 0.3345 (multiplicity 2)
Tc: 0.6667 0.3333 0.1782 (multiplicity 2)
Tc: 0.6667 0.3333 0.5000 (multiplicity 1)

The 10 most intense peaks (2θ from 10° to 80°), sorted by position:
2theta, I (rel.)
13.15, 14
37.27, 26
37.88, 3
40.20, 25
42.54, 100
46.30, 5
50.82, 3
55.97, 14
67.20, 17
74.66, 16



Entry 3:
# RbPu4I8
Calculated powder X-ray diffraction pattern, Cu Kα (λ = 1.5418 Å). Input: a cell relaxed with PBE.
No peak broadening, texture or thermal motion is included.

Structure:
a b c (Å): 8.5043 8.5043 28.3747
angles (deg): 90.00 90.00 120.00
Space group R-3m (No. 166, hexagonal axes)
Asymmetric unit:
Rb: 0.0000 0.0000 0.0000 (multiplicity 3)
Pu: 0.0000 0.0000 0.5000 (multiplicity 3)
Pu: 0.0000 0.5000 0.5000 (multiplicity 9)
I: 0.0000 0.0000 0.2375 (multiplicity 6)
I: 0.0029 0.5014 0.2380 (multiplicity 18)

The 10 most intense peaks (2θ from 10° to 80°), sorted by position:
2theta, I (rel.)
24.37, 20
27.29, 100
32.86, 29
35.13, 45
42.52, 32
42.80, 19
43.63, 17
51.26, 18
58.37, 17
68.73, 15



Entry 4:
# Cd3SnHg3
Calculated powder X-ray diffraction pattern, Cu Kα (λ = 1.5418 Å). Input: a cell relaxed with PBE.
No peak broadening, texture or thermal motion is included.

Structure:
a b c (Å): 8.7512 8.7512 5.1979
angles (deg): 90.00 90.00 120.00
Space group P6_3/m (No. 176)
Asymmetric unit:
Cd: 0.0549 0.2380 0.2500 (multiplicity 6)
Sn: 0.3333 0.6667 0.2500 (multiplicity 2)
Hg: 0.0961 0.4581 0.7500 (multiplicity 6)

The 10 most intense peaks (2θ from 10° to 80°), sorted by position:
2theta, I (rel.)
26.63, 8
31.22, 28
34.51, 25
35.79, 100
47.22, 18
55.57, 18
62.66, 20
67.08, 20
67.88, 14
75.84, 3



Entry 5:
# Sc3HgC
Calculated powder X-ray diffraction pattern, Cu Kα (λ = 1.5418 Å). Input: a cell relaxed with PBE.
No peak broadening, texture or thermal motion is included.

Structure:
a b c (Å): 10.7636 12.6350 5.7198
angles (deg): 90.00 90.68 90.00
Space group C2/c (No. 15)
Asymmetric unit:
Sc: 0.1104 0.1704 0.4244 (multiplicity 8)
Sc: 0.1143 0.4323 0.4186 (multiplicity 8)
Sc: 0.1187 0.3109 0.9280 (multiplicity 8)
Hg: 0.1450 0.0720 0.9125 (multiplicity 8)
C: 0.0000 0.2972 0.2500 (multiplicity 4)
C: 0.0000 0.4347 0.7500 (multiplicity 4)

The 10 most intense peaks (2θ from 10° to 80°), sorted by position:
2theta, I (rel.)
10.80, 88
14.02, 42
25.82, 54
26.89, 32
27.52, 46
33.29, 84
35.37, 51
35.73, 36
36.45, 67
36.62, 100



Entry 6:
# Zr4Ga2Co
Calculated powder X-ray diffraction pattern, Cu Kα (λ = 1.5418 Å). Input: a cell relaxed with PBE.
No peak broadening, texture or thermal motion is included.

Structure:
a b c (Å): 4.5827 4.5827 14.6995
angles (deg): 90.00 90.00 90.00
Space group I4/mmm (No. 139)
Asymmetric unit:
Zr: 0.0000 0.0000 0.1804 (multiplicity 4)
Zr: 0.0000 0.5000 0.0000 (multiplicity 4)
Ga: 0.0000 0.0000 0.3674 (multiplicity 4)
Co: 0.0000 0.0000 0.0000 (multiplicity 2)

The 10 most intense peaks (2θ from 10° to 80°), sorted by position:
2theta, I (rel.)
12.04, 37
27.53, 34
30.14, 82
36.30, 63
36.68, 37
36.99, 64
39.32, 100
54.59, 37
54.86, 44
56.82, 33



Repeat the fifth record exactly.
# Sc3HgC
Calculated powder X-ray diffraction pattern, Cu Kα (λ = 1.5418 Å). Input: a cell relaxed with PBE.
No peak broadening, texture or thermal motion is included.

Structure:
a b c (Å): 10.7636 12.6350 5.7198
angles (deg): 90.00 90.68 90.00
Space group C2/c (No. 15)
Asymmetric unit:
Sc: 0.1104 0.1704 0.4244 (multiplicity 8)
Sc: 0.1143 0.4323 0.4186 (multiplicity 8)
Sc: 0.1187 0.3109 0.9280 (multiplicity 8)
Hg: 0.1450 0.0720 0.9125 (multiplicity 8)
C: 0.0000 0.2972 0.2500 (multiplicity 4)
C: 0.0000 0.4347 0.7500 (multiplicity 4)

The 10 most intense peaks (2θ from 10° to 80°), sorted by position:
2theta, I (rel.)
10.80, 88
14.02, 42
25.82, 54
26.89, 32
27.52, 46
33.29, 84
35.37, 51
35.73, 36
36.45, 67
36.62, 100



Copy entry 1 word for word.
# MnCdW2
Calculated powder X-ray diffraction pattern, Cu Kα (λ = 1.5418 Å). Input: a cell relaxed with PBE.
No peak broadening, texture or thermal motion is included.

Structure:
a b c (Å): 3.2231 4.4849 9.0724
angles (deg): 90.00 90.00 90.00
Space group Cmm2 (No. 35)
Asymmetric unit:
Mn: 0.0000 0.0000 0.0000 (multiplicity 2)
Cd: 0.0000 0.5000 0.7428 (multiplicity 2)
W: 0.0000 0.0000 0.4654 (multiplicity 2)
W: 0.0000 0.5000 0.2214 (multiplicity 2)

The 10 most intense peaks (2θ from 10° to 80°), sorted by position:
2theta, I (rel.)
29.54, 5
35.70, 9
39.76, 100
40.22, 20
45.85, 5
57.16, 7
57.82, 12
71.86, 6
72.16, 18
72.78, 13